Record 1
For La4Nd4Dy, a structure optimized by DFT (PBE) gives the simulated powder X-ray diffraction pattern in this record (copper Kα).
Intensities are scaled so that the largest is 100.

Main lines, by angle (2θ from 15° to 90°):
2θ/deg, Rel. int.
29.63, 100
34.26, 34
34.51, 17
49.24, 12
49.40, 18
58.49, 15
58.55, 15
58.81, 7
58.88, 7
61.46, 6
61.56, 6
82.41, 7

Structural model:
Cell lengths 11.676, 5.235, 11.077 Å; angles 90.00, 108.82, 90.00 degrees
Space group C2/m (No. 12)
Unique sites:
1 La 0.163 0.000 0.219 (multiplicity 4)
2 La 0.169 0.000 0.557 (multiplicity 4)
3 Nd 0.002 0.500 0.669 (multiplicity 4)
4 Nd 0.169 0.000 0.891 (multiplicity 4)
5 Dy 0.000 0.500 0.000 (multiplicity 2)

***

Record 2
For K2NaIn, a structure optimized by DFT (PBE) gives the simulated powder X-ray diffraction pattern in this record (copper Kα).
Intensities are scaled so that the largest is 100.

Main lines, by angle (2θ from 15° to 90°):
2θ/deg, Rel. int.
15.36, 34
23.10, 27
27.86, 100
31.01, 38
34.74, 23
39.03, 14
44.43, 13
47.23, 24
53.26, 30
57.58, 14
58.11, 11
75.98, 11

Structural model:
Cell lengths 5.767, 5.767, 5.170 Å; angles 90.00, 90.00, 90.00 degrees
Space group P4/mmm (No. 123)
Unique sites:
1 K 0.000 0.500 0.000 (multiplicity 2)
2 Na 0.000 0.000 0.500 (multiplicity 1)
3 In 0.500 0.500 0.500 (multiplicity 1)